# Cd3Fe
Calculated PXRD pattern, Cu Kα X-rays. Input: a DFT-relaxed cell (GGA-PBE, Alexandria).
No peak broadening, texture or thermal motion is included.

Cell and atoms:
abc: 3.0137 3.0137 9.6662
angles: 90.00 90.00 120.00
Space group P-6m2 (No. 187)
Inequivalent atoms, fractional coordinates:
Cd  0.0000  0.0000  0.0000 [1 per cell]
Cd  0.6667  0.3333  0.2727 [2 per cell]
Fe  0.0000  0.0000  0.5000 [1 per cell]

Top 12 peaks for 10° ≤ 2θ ≤ 90°, in order of rising 2θ:
| two_theta | Rel. int. | hkl |
| --- | --- | --- |
| 27.69 | 8 | 0 0 3 |
| 34.36 | 27 | 1 0 0 |
| 35.63 | 7 | 1 0 1 |
| 37.21 | 22 | 0 0 4 |
| 39.23 | 100 | 1 0 2 |
| 44.68 | 4 | 1 0 3 |
| 51.54 | 13 | 1 0 4 |
| 59.50 | 8 | 1 0 5 |
| 61.54 | 17 | 1 1 0 |
| 68.44 | 12 | 1 0 6 |
| 74.16 | 16 | 1 1 4 |
| 75.45 | 13 | 2 0 2 |

***

# Er6Ga3Ir
Calculated PXRD pattern, Cu Kα X-rays. Input: a DFT-relaxed cell (GGA-PBE, Alexandria).
No peak broadening, texture or thermal motion is included.

Cell and atoms:
abc: 8.5649 11.4106 4.9625
angles: 90.00 90.00 90.00
Space group Pnnm (No. 58)
Inequivalent atoms, fractional coordinates:
Er  0.0045  0.2457  0.0000 [4 per cell]
Er  0.1593  0.0865  0.5000 [4 per cell]
Er  0.1795  0.4165  0.5000 [4 per cell]
Ga  0.0000  0.5000  0.0000 [2 per cell]
Ga  0.1614  0.7356  0.5000 [4 per cell]
Ir  0.0000  0.0000  0.0000 [2 per cell]

Top 12 peaks for 10° ≤ 2θ ≤ 90°, in order of rising 2θ:
| two_theta | Rel. int. | hkl |
| --- | --- | --- |
| 22.14 | 13 | 2 1 0 |
| 31.43 | 100 | 1 3 1 |
| 36.20 | 45 | 0 0 2 |
| 36.30 | 87 | 3 0 1 |
| 37.88 | 59 | 2 4 0 |
| 48.70 | 26 | 2 3 2 |
| 48.81 | 12 | 4 3 0 |
| 53.44 | 22 | 2 4 2 |
| 61.47 | 21 | 0 6 2 |
| 62.28 | 17 | 4 3 2 |
| 65.18 | 16 | 3 0 3 |
| 66.36 | 15 | 5 4 1 |